Record 1
Calculated powder XRD pattern of Ba3MgWO6 for Cu Ka, from a cell relaxed with GGA+U.
Intensities are scaled so that the largest is 100.

Cell and atoms:
```
data_Ba3MgWO6
_space_group_name_H-M_alt 'R 3 m'
_space_group_IT_number 160
_space_group_name_Hall 'R 3 -2"'
_cell_length_a 6.1843
_cell_length_b 6.1843
_cell_length_c 18.6982
_cell_angle_alpha 90.00
_cell_angle_beta 90.00
_cell_angle_gamma 120.00
loop_
_atom_site_label
_atom_site_fract_x
_atom_site_fract_y
_atom_site_fract_z
_atom_site_occupancy
Ba1 0.0000 0.0000 0.0000 1
Ba2 0.0000 0.0000 0.1920 1
Ba3 0.0000 0.0000 0.6554 1
Mg1 0.0000 0.0000 0.8370 1
W1 0.0000 0.0000 0.4764 1
O1 0.0132 0.5066 0.2158 1
O2 0.1777 0.3555 0.0888 1
```

Top 6 peaks for 10 to 80 degrees two-theta, most intense first:
2θ = 28.87°, intensity 100
2θ = 41.12°, intensity 58
2θ = 25.29°, intensity 48
2θ = 19.10°, intensity 41
2θ = 38.75°, intensity 25
2θ = 29.12°, intensity 22


Record 2
Calculated powder XRD pattern of Mg14CrSiO16 for Cu Ka, from a cell relaxed with GGA+U.
Intensities are scaled so that the largest is 100.

Cell and atoms:
```
data_Mg14CrSiO16
_space_group_name_H-M_alt 'P m m m'
_space_group_IT_number 47
_cell_length_a 4.287
_cell_length_b 8.548
_cell_length_c 8.710
_cell_angle_alpha 90.00
_cell_angle_beta 90.00
_cell_angle_gamma 90.00
loop_
_space_group_symop_operation_xyz
'x,y,z'
'-x,-y,-z'
'-x,-y,z'
'x,y,-z'
'x,-y,-z'
'-x,y,z'
'-x,y,-z'
'x,-y,z'
loop_
_atom_site_label
_atom_site_fract_x
_atom_site_fract_y
_atom_site_fract_z
_atom_site_occupancy
Mg1 0.000 0.000 0.000 1
Mg2 0.000 0.248 0.246 1
Mg3 0.000 0.500 0.000 1
Mg4 0.500 0.000 0.246 1
Mg5 0.500 0.248 0.500 1
Mg6 0.500 0.250 0.000 1
Mg7 0.500 0.500 0.246 1
Cr1 0.000 0.000 0.500 1
Si1 0.000 0.500 0.500 1
O1 0.000 0.000 0.235 1
O2 0.000 0.243 0.500 1
O3 0.000 0.251 0.000 1
O4 0.000 0.500 0.239 1
O5 0.500 0.000 0.000 1
O6 0.500 0.000 0.500 1
O7 0.500 0.251 0.252 1
O8 0.500 0.500 0.000 1
O9 0.500 0.500 0.500 1
```

Top 6 peaks for 10 to 80 degrees two-theta, most intense first:
2θ = 60.67°, intensity 100
2θ = 41.47°, intensity 91
2θ = 42.16°, intensity 87
2θ = 42.29°, intensity 86
2θ = 61.25°, intensity 49
2θ = 76.69°, intensity 45


Record 3
Calculated powder XRD pattern of MgWO6 for Cu Ka, from a cell relaxed with GGA+U.
Intensities are scaled so that the largest is 100.

Cell and atoms:
```
data_MgWO6
_space_group_name_H-M_alt 'P 1 21/c 1'
_space_group_IT_number 14
_cell_length_a 5.749
_cell_length_b 10.462
_cell_length_c 8.611
_cell_angle_alpha 90.00
_cell_angle_beta 92.61
_cell_angle_gamma 90.00
loop_
_space_group_symop_operation_xyz
'x,y,z'
'-x,-y,-z'
'-x,y+1/2,-z+1/2'
'x,-y+1/2,z+1/2'
loop_
_atom_site_label
_atom_site_fract_x
_atom_site_fract_y
_atom_site_fract_z
_atom_site_occupancy
Mg1 0.034 0.000 0.182 1
W1 0.197 0.214 0.509 1
O1 0.063 0.111 0.648 1
O2 0.073 0.119 0.995 1
O3 0.156 0.142 0.317 1
O4 0.405 0.538 0.304 1
O5 0.446 0.547 0.684 1
O6 0.500 0.221 0.552 1
```

Top 6 peaks for 10 to 80 degrees two-theta, most intense first:
2θ = 17.62°, intensity 100
2θ = 26.84°, intensity 48
2θ = 26.72°, intensity 29
2θ = 27.81°, intensity 27
2θ = 20.65°, intensity 23
2θ = 16.95°, intensity 23


Record 4
Calculated powder XRD pattern of MnCuP2O8 for Cu Ka, from a cell relaxed with GGA+U.
Intensities are scaled so that the largest is 100.

Cell and atoms:
```
data_MnCuP2O8
_space_group_name_H-M_alt 'P 1 21/m 1'
_space_group_IT_number 11
_cell_length_a 5.160
_cell_length_b 6.049
_cell_length_c 10.104
_cell_angle_alpha 90.00
_cell_angle_beta 94.21
_cell_angle_gamma 90.00
loop_
_space_group_symop_operation_xyz
'x,y,z'
'-x,-y,-z'
'-x,y+1/2,-z'
'x,-y+1/2,z'
loop_
_atom_site_label
_atom_site_fract_x
_atom_site_fract_y
_atom_site_fract_z
_atom_site_occupancy
Mn1 0.089 0.250 0.303 1
Cu1 0.350 0.250 0.813 1
P1 0.086 0.750 0.397 1
P2 0.444 0.750 0.887 1
O1 0.120 0.750 0.550 1
O2 0.213 0.250 0.639 1
O3 0.220 0.547 0.338 1
O4 0.268 0.250 0.141 1
O5 0.280 0.556 0.821 1
O6 0.419 0.750 0.039 1
```

Top 6 peaks for 10 to 80 degrees two-theta, most intense first:
2θ = 18.78°, intensity 100
2θ = 29.54°, intensity 69
2θ = 17.60°, intensity 54
2θ = 19.94°, intensity 39
2θ = 23.79°, intensity 34
2θ = 35.23°, intensity 30


Record 5
Calculated powder XRD pattern of MgZn2Fe4O8 for Cu Ka, from a cell relaxed with GGA+U.
Intensities are scaled so that the largest is 100.

Cell and atoms:
```
data_MgZn2Fe4O8
_space_group_name_H-M_alt 'P 1 m 1'
_space_group_IT_number 6
_cell_length_a 2.945
_cell_length_b 11.982
_cell_length_c 5.197
_cell_angle_alpha 90.00
_cell_angle_beta 96.83
_cell_angle_gamma 90.00
loop_
_space_group_symop_operation_xyz
'x,y,z'
'x,-y,z'
loop_
_atom_site_label
_atom_site_fract_x
_atom_site_fract_y
_atom_site_fract_z
_atom_site_occupancy
Mg1 0.000 0.000 0.000 1
Zn1 0.113 0.000 0.499 1
Zn2 0.143 0.500 0.862 1
Fe1 0.564 0.233 0.832 1
Fe2 0.672 0.357 0.337 1
O1 0.051 0.122 0.750 1
O2 0.116 0.291 0.125 1
O3 0.231 0.374 0.610 1
O4 0.552 0.000 0.243 1
O5 0.685 0.500 0.137 1
```

Top 6 peaks for 10 to 80 degrees two-theta, most intense first:
2θ = 28.26°, intensity 100
2θ = 34.11°, intensity 46
2θ = 37.91°, intensity 36
2θ = 34.62°, intensity 35
2θ = 49.81°, intensity 30
2θ = 40.13°, intensity 22


Record 6
Calculated powder XRD pattern of LiMn7O7F for Cu Ka, from a cell relaxed with GGA+U.
Intensities are scaled so that the largest is 100.

Cell and atoms:
```
data_LiMn7O7F
_space_group_name_H-M_alt 'P 3 m 1'
_space_group_IT_number 156
_cell_length_a 3.4821
_cell_length_b 3.4821
_cell_length_c 21.5001
_cell_angle_alpha 90.00
_cell_angle_beta 90.00
_cell_angle_gamma 120.00
loop_
_space_group_symop_operation_xyz
'x,y,z'
'-y,x-y,z'
'-x+y,-x,z'
'-y,-x,z'
'-x+y,y,z'
'x,x-y,z'
loop_
_atom_site_label
_atom_site_fract_x
_atom_site_fract_y
_atom_site_fract_z
_atom_site_occupancy
Li1 0.0000 0.0000 0.0000 1
Mn1 0.0000 0.0000 0.2576 1
Mn2 0.0000 0.0000 0.5081 1
Mn3 0.0000 0.0000 0.7598 1
Mn4 0.6667 0.3333 0.1324 1
Mn5 0.6667 0.3333 0.3828 1
Mn6 0.6667 0.3333 0.6335 1
Mn7 0.6667 0.3333 0.8857 1
O1 0.0000 0.0000 0.1571 1
O2 0.0000 0.0000 0.4086 1
O3 0.0000 0.0000 0.6600 1
O4 0.0000 0.0000 0.9115 1
O5 0.6667 0.3333 0.2831 1
O6 0.6667 0.3333 0.5341 1
O7 0.6667 0.3333 0.7860 1
F1 0.6667 0.3333 0.0330 1
```

Top 6 peaks for 10 to 80 degrees two-theta, most intense first:
2θ = 34.09°, intensity 100
2θ = 29.62°, intensity 81
2θ = 33.34°, intensity 54
2θ = 52.56°, intensity 53
2θ = 63.68°, intensity 40
2θ = 60.07°, intensity 38